Entry 1:
Computed PXRD pattern of GaAs2SeO for Cu Kα (weighted mean of Kα1 and Kα2), from the GGA-PBE geometry in Alexandria.
Intensities are scaled so that the largest is 100.

Structure:
a = 4.2760 Å, b = 4.2760 Å, c = 5.0538 Å
α = 90.00°, β = 90.00°, γ = 90.00°
Space group P4/mmm (No. 123)
Symmetry-distinct sites (fractional):
1 Ga 0.0000 0.0000 0.0000 (multiplicity 1)
2 As 0.0000 0.5000 0.5000 (multiplicity 2)
3 Se 0.5000 0.5000 0.0000 (multiplicity 1)
4 O 0.5000 0.5000 0.5000 (multiplicity 1)

Peak list (8 most intense, 2θ from 5° to 70°, low angle first)
hkl  d (Å)  I_rel
0 0 1  5.054  1
1 0 0  4.276  1
1 1 1  2.595  100
0 0 2  2.527  29
2 0 0  2.138  35
2 0 2  1.632  29
2 2 0  1.512  11
1 1 3  1.472  17

Entry 2:
Computed PXRD pattern of YGaAs2O8 for Cu Kα (weighted mean of Kα1 and Kα2), from the GGA-PBE geometry in Alexandria.
Intensities are scaled so that the largest is 100.

Structure:
a = 6.9734 Å, b = 6.9734 Å, c = 6.1883 Å
α = 90.00°, β = 90.00°, γ = 90.00°
Space group I-4m2 (No. 119)
Symmetry-distinct sites (fractional):
1 Y 0.0000 0.0000 0.0000 (multiplicity 2)
2 Ga 0.0000 0.5000 0.7500 (multiplicity 2)
3 As 0.0000 0.0000 0.5000 (multiplicity 2)
4 As 0.0000 0.5000 0.2500 (multiplicity 2)
5 O 0.0000 0.1891 0.6810 (multiplicity 8)
6 O 0.0000 0.3224 0.0577 (multiplicity 8)

Peak list (10 most intense, 2θ from 5° to 70°, low angle first)
hkl  d (Å)  I_rel
2 0 0  3.487  100
1 1 2  2.621  62
2 2 0  2.465  18
2 0 2  2.314  4
3 1 2  1.796  58
4 0 0  1.743  16
4 2 0  1.559  12
0 0 4  1.547  4
3 3 2  1.452  18
2 0 4  1.414  11

Entry 3:
Computed PXRD pattern of TlGaAsOs2 for Cu Kα (weighted mean of Kα1 and Kα2), from the GGA-PBE geometry in Alexandria.
Intensities are scaled so that the largest is 100.

Structure:
a = 4.5984 Å, b = 4.5984 Å, c = 5.6189 Å
α = 90.00°, β = 90.00°, γ = 90.00°
Space group P4/mmm (No. 123)
Symmetry-distinct sites (fractional):
1 Tl 0.0000 0.0000 0.0000 (multiplicity 1)
2 Ga 0.5000 0.5000 0.0000 (multiplicity 1)
3 As 0.0000 0.0000 0.5000 (multiplicity 1)
4 Os 0.0000 0.5000 0.5000 (multiplicity 2)

Peak list (10 most intense, 2θ from 5° to 70°, low angle first)
hkl  d (Å)  I_rel
0 0 1  5.619  9
1 0 0  4.598  16
0 0 2  2.813  100
1 0 2  2.397  6
2 0 0  2.299  33
2 0 2  1.779  30
2 1 2  1.659  4
2 2 0  1.626  11
1 1 3  1.623  14
2 2 2  1.407  32

Entry 4:
Computed PXRD pattern of Ga2As2Pd for Cu Kα (weighted mean of Kα1 and Kα2), from the GGA-PBE geometry in Alexandria.
Intensities are scaled so that the largest is 100.

Structure:
a = 6.5069 Å, b = 6.5069 Å, c = 4.7565 Å
α = 90.00°, β = 90.00°, γ = 90.00°
Space group P4/mbm (No. 127)
Symmetry-distinct sites (fractional):
1 Ga 0.1763 0.3237 0.0000 (multiplicity 4)
2 As 0.1386 0.6386 0.5000 (multiplicity 4)
3 Pd 0.0000 0.0000 0.5000 (multiplicity 2)

Peak list (10 most intense, 2θ from 5° to 70°, low angle first)
hkl  d (Å)  I_rel
0 0 1  4.757  19
1 1 1  3.307  12
2 0 1  2.685  37
2 1 1  2.482  100
0 0 2  2.378  38
3 1 0  2.058  39
3 1 1  1.889  15
3 1 2  1.556  31
4 1 1  1.498  12
2 1 3  1.392  19

Entry 5:
Computed PXRD pattern of GaAsPd4 for Cu Kα (weighted mean of Kα1 and Kα2), from the GGA-PBE geometry in Alexandria.
Intensities are scaled so that the largest is 100.

Structure:
a = 6.8068 Å, b = 3.4274 Å, c = 16.0004 Å
α = 90.00°, β = 90.00°, γ = 90.00°
Space group Pnma (No. 62)
Symmetry-distinct sites (fractional):
1 Ga 0.2374 0.2500 0.1907 (multiplicity 4)
2 As 0.2503 0.2500 0.9407 (multiplicity 4)
3 Pd 0.0275 0.7500 0.5694 (multiplicity 4)
4 Pd 0.0414 0.7500 0.2873 (multiplicity 4)
5 Pd 0.1263 0.7500 0.0591 (multiplicity 4)
6 Pd 0.1272 0.7500 0.8392 (multiplicity 4)

Peak list (10 most intense, 2θ from 5° to 70°, low angle first)
hkl  d (Å)  I_rel
1 1 4  2.431  100
2 1 0  2.415  39
0 1 5  2.339  27
2 0 5  2.331  15
3 0 1  2.246  18
2 1 3  2.200  51
1 0 7  2.167  13
0 0 8  2.000  22
3 0 4  1.974  38
0 2 0  1.714  27

Entry 6:
Computed PXRD pattern of Sm2GaAsPt6 for Cu Kα (weighted mean of Kα1 and Kα2), from the GGA-PBE geometry in Alexandria.
Intensities are scaled so that the largest is 100.

Structure:
a = 5.6256 Å, b = 5.6256 Å, c = 23.2324 Å
α = 90.00°, β = 90.00°, γ = 120.00°
Space group R-3m (No. 166, hexagonal axes)
Symmetry-distinct sites (fractional):
1 Sm 0.0000 0.0000 0.2031 (multiplicity 6)
2 Ga 0.0000 0.0000 0.5000 (multiplicity 3)
3 As 0.0000 0.0000 0.0000 (multiplicity 3)
4 Pt 0.0016 0.5008 0.2508 (multiplicity 18)

Peak list (10 most intense, 2θ from 5° to 70°, low angle first)
hkl  d (Å)  I_rel
0 1 2  4.493  24
0 0 6  3.872  61
0 1 5  3.362  15
2 0 2  2.384  92
1 1 6  2.276  36
0 2 4  2.246  100
1 0 10  2.097  28
2 0 8  1.866  34
2 1 10  1.443  17
2 2 0  1.406  29

Entry 7:
Computed PXRD pattern of Rb3Ga2As3 for Cu Kα (weighted mean of Kα1 and Kα2), from the GGA-PBE geometry in Alexandria.
Intensities are scaled so that the largest is 100.

Structure:
a = 4.4252 Å, b = 14.9010 Å, c = 15.0434 Å
α = 90.00°, β = 90.00°, γ = 90.00°
Space group Cmcm (No. 63)
Symmetry-distinct sites (fractional):
1 Rb 0.0000 0.0667 0.1104 (multiplicity 8)
2 Rb 0.0000 0.3593 0.2500 (multiplicity 4)
3 Ga 0.0000 0.2401 0.5933 (multiplicity 8)
4 As 0.0000 0.3154 0.7500 (multiplicity 4)
5 As 0.0000 0.3446 0.0419 (multiplicity 8)

Peak list (10 most intense, 2θ from 5° to 70°, low angle first)
hkl  d (Å)  I_rel
0 2 0  7.450  66
1 3 0  3.304  84
1 3 1  3.227  100
0 4 3  2.990  56
1 1 4  2.814  82
1 3 3  2.759  57
0 0 6  2.507  28
2 0 0  2.213  55
0 6 4  2.072  34
1 7 0  1.918  44

Entry 8:
Computed PXRD pattern of Rb5GaAs2 for Cu Kα (weighted mean of Kα1 and Kα2), from the GGA-PBE geometry in Alexandria.
Intensities are scaled so that the largest is 100.

Structure:
a = 5.9543 Å, b = 5.9543 Å, c = 46.0920 Å
α = 90.00°, β = 90.00°, γ = 120.00°
Space group R-3m (No. 166, hexagonal axes)
Symmetry-distinct sites (fractional):
1 Rb 0.0000 0.0000 0.0000 (multiplicity 3)
2 Rb 0.0000 0.0000 0.1350 (multiplicity 6)
3 Rb 0.0000 0.0000 0.2526 (multiplicity 6)
4 Ga 0.0000 0.0000 0.5000 (multiplicity 3)
5 As 0.0000 0.0000 0.4499 (multiplicity 6)

Peak list (10 most intense, 2θ from 5° to 70°, low angle first)
hkl  d (Å)  I_rel
0 0 3  15.364  100
1 0 4  4.707  23
1 0 7  4.060  30
0 1 8  3.842  41
1 0 10  3.436  17
1 1 0  2.977  71
1 0 16  2.515  27
0 2 16  1.921  16
3 0 0  1.719  19
2 1 16  1.614  18

Question: Which formula does entry 2 have?
Answer: YGaAs2O8

Question: What is the formula in the fourth record?
Answer: Ga2As2Pd